The following is a theoretical XRD peak list of Rb2Hg. It was derived from DFT lattice parameters and positions (GGA-PBE), using Cu Kα (weighted mean of Kα1 and Kα2).
Kinematic intensities with the Lorentz-polarization factor, no thermal factor.

Principal peaks in the range 2θ = 15–90°, by angle:
22.2 deg, I 56, (2 2 0)
26.1 deg, I 100, (3 1 1)
27.3 deg, I 18, (2 2 2)
39.0 deg, I 27, (4 2 2)
41.4 deg, I 39, (5 1 1)
45.3 deg, I 30, (4 4 0)
53.0 deg, I 14, (5 3 3)
61.2 deg, I 15, (6 4 2)
63.1 deg, I 26, (7 3 1)
72.2 deg, I 13, (7 5 1)

Cell and atoms:
Cell lengths 11.325, 11.325, 11.325 Å; angles 90.00, 90.00, 90.00 degrees
Space group Fd-3m (No. 227, origin choice 2)
One atom of each set of equivalent atoms:
Rb (0.000, 0.000, 0.000) x16
Hg (0.125, 0.125, 0.625) x8

***

The following is a theoretical XRD peak list of Rb5Hg2. It was derived from DFT lattice parameters and positions (GGA-PBE), using Cu Kα (weighted mean of Kα1 and Kα2).
Kinematic intensities with the Lorentz-polarization factor, no thermal factor.

Principal peaks in the range 2θ = 15–90°, by angle:
15.1 deg, I 100, (1 1 1)
18.3 deg, I 45, (3 1 -1)
23.6 deg, I 40, (4 0 -2)
24.5 deg, I 32, (2 2 -1)
25.4 deg, I 44, (2 2 1)
26.3 deg, I 48, (6 0 0)
27.1 deg, I 90, (4 0 2)
27.7 deg, I 40, (4 2 0)
29.4 deg, I 58, (1 1 -3)
30.1 deg, I 39, (6 0 -2)

Cell and atoms:
```
data_Rb5Hg2
_symmetry_space_group_name_H-M 'C 1 2/c 1'
_symmetry_Int_Tables_number 15
_cell_length_a 20.532
_cell_length_b 8.299
_cell_length_c 9.783
_cell_angle_alpha 90.00
_cell_angle_beta 97.78
_cell_angle_gamma 90.00
loop_
_symmetry_equiv_pos_as_xyz
'x,y,z'
'-x,-y,-z'
'-x,y,-z+1/2'
'x,-y,z+1/2'
'x+1/2,y+1/2,z'
'-x+1/2,-y+1/2,-z'
'-x+1/2,y+1/2,-z+1/2'
'x+1/2,-y+1/2,z+1/2'
loop_
_atom_site_label
_atom_site_type_symbol
_atom_site_fract_x
_atom_site_fract_y
_atom_site_fract_z
_atom_site_occupancy
Rb1 Rb 0.000 0.089 0.250 1
Rb2 Rb 0.090 0.381 0.926 1
Rb3 Rb 0.220 0.083 0.317 1
Hg1 Hg 0.110 0.204 0.582 1
```

***

The following is a theoretical XRD peak list of Rb4Hg13. It was derived from DFT lattice parameters and positions (GGA-PBE), using Cu Kα (weighted mean of Kα1 and Kα2).
Kinematic intensities with the Lorentz-polarization factor, no thermal factor.

Principal peaks in the range 2θ = 15–90°, by angle:
26.5 deg, I 26, (6 0 -2)
27.4 deg, I 14, (5 1 0)
28.4 deg, I 16, (5 1 -2)
31.8 deg, I 82, (0 2 0)
32.4 deg, I 61, (5 1 1)
32.5 deg, I 16, (6 0 1)
33.5 deg, I 100, (1 1 -3)
33.9 deg, I 47, (7 1 -2)
41.8 deg, I 16, (6 2 -2)
57.7 deg, I 21, (1 3 -3)

Cell and atoms:
```
data_Rb4Hg13
_symmetry_space_group_name_H-M 'C 1 2/m 1'
_symmetry_Int_Tables_number 12
_cell_length_a 21.741
_cell_length_b 5.632
_cell_length_c 9.480
_cell_angle_alpha 90.00
_cell_angle_beta 113.74
_cell_angle_gamma 90.00
loop_
_symmetry_equiv_pos_as_xyz
'x,y,z'
'-x,-y,-z'
'-x,y,-z'
'x,-y,z'
'x+1/2,y+1/2,z'
'-x+1/2,-y+1/2,-z'
'-x+1/2,y+1/2,-z'
'x+1/2,-y+1/2,z'
loop_
_atom_site_label
_atom_site_type_symbol
_atom_site_fract_x
_atom_site_fract_y
_atom_site_fract_z
_atom_site_occupancy
Rb1 Rb 0.042 0.000 0.351 1
Rb2 Rb 0.182 0.500 0.193 1
Hg1 Hg 0.000 0.500 0.500 1
Hg2 Hg 0.030 0.500 0.869 1
Hg3 Hg 0.085 0.000 0.028 1
Hg4 Hg 0.142 0.000 0.767 1
Hg5 Hg 0.147 0.500 0.544 1
Hg6 Hg 0.206 0.000 0.425 1
Hg7 Hg 0.234 0.500 0.890 1
```

***

The following is a theoretical XRD peak list of Rb2Hg2S3. It was derived from DFT lattice parameters and positions (GGA-PBE), using Cu Kα (weighted mean of Kα1 and Kα2).
Kinematic intensities with the Lorentz-polarization factor, no thermal factor.

Principal peaks in the range 2θ = 15–90°, by angle:
20.6 deg, I 56, (2 1 1)
23.9 deg, I 97, (2 2 0)
26.7 deg, I 44, (3 1 0)
31.8 deg, I 100, (3 2 1)
42.0 deg, I 26, (4 2 2)
43.8 deg, I 65, (4 1 3)
47.2 deg, I 39, (5 1 2)
52.1 deg, I 28, (6 0 0)
74.2 deg, I 23, (8 2 0)
78.0 deg, I 20, (8 3 1)

Cell and atoms:
```
data_Rb2Hg2S3
_symmetry_space_group_name_H-M 'I 21 3'
_symmetry_Int_Tables_number 199
_symmetry_space_group_name_Hall 'I 2b 2c 3'
_cell_length_a 10.539
_cell_length_b 10.539
_cell_length_c 10.539
_cell_angle_alpha 90.00
_cell_angle_beta 90.00
_cell_angle_gamma 90.00
loop_
_atom_site_label
_atom_site_type_symbol
_atom_site_fract_x
_atom_site_fract_y
_atom_site_fract_z
_atom_site_occupancy
Rb1 Rb 0.250 0.250 0.250 1
Hg1 Hg 0.060 0.440 0.560 1
S1 S 0.000 0.250 0.430 1
```

***

The following is a theoretical XRD peak list of Rb2Hg3S4. It was derived from DFT lattice parameters and positions (GGA-PBE), using Cu Kα (weighted mean of Kα1 and Kα2).
Kinematic intensities with the Lorentz-polarization factor, no thermal factor.

Principal peaks in the range 2θ = 15–90°, by angle:
25.0 deg, I 48, (0 0 4)
27.2 deg, I 66, (1 3 0)
28.1 deg, I 29, (1 2 3)
30.0 deg, I 100, (1 3 2)
30.6 deg, I 78, (2 0 2)
37.3 deg, I 66, (1 3 4)
37.8 deg, I 30, (2 0 4)
47.3 deg, I 30, (1 3 6)
47.7 deg, I 28, (2 0 6)
50.7 deg, I 29, (3 3 2)

Cell and atoms:
```
data_Rb2Hg3S4
_symmetry_space_group_name_H-M 'I b a m'
_symmetry_Int_Tables_number 72
_symmetry_space_group_name_Hall '-I 2 2c'
_cell_length_a 6.398
_cell_length_b 11.475
_cell_length_c 14.242
_cell_angle_alpha 90.00
_cell_angle_beta 90.00
_cell_angle_gamma 90.00
loop_
_atom_site_label
_atom_site_type_symbol
_atom_site_fract_x
_atom_site_fract_y
_atom_site_fract_z
_atom_site_occupancy
Rb1 Rb 0.232 0.120 0.000 1
Hg1 Hg 0.000 0.161 0.250 1
Hg2 Hg 0.000 0.500 0.250 1
S1 S 0.226 0.368 0.138 1
```

***

The following is a theoretical XRD peak list of RbSmHgS3. It was derived from DFT lattice parameters and positions (GGA-PBE), using Cu Kα (weighted mean of Kα1 and Kα2).
Kinematic intensities with the Lorentz-polarization factor, no thermal factor.

Principal peaks in the range 2θ = 15–90°, by angle:
24.5 deg, I 37, (2 0 2)
25.3 deg, I 26, (4 0 -2)
26.3 deg, I 70, (3 1 0)
29.0 deg, I 100, (1 1 -2)
30.9 deg, I 43, (6 0 0)
39.7 deg, I 18, (2 0 -4)
42.4 deg, I 33, (5 1 2)
43.4 deg, I 43, (0 2 0)
47.8 deg, I 15, (1 1 4)
54.2 deg, I 17, (6 2 0)

Cell and atoms:
```
data_RbSmHgS3
_symmetry_space_group_name_H-M 'C 1 2/m 1'
_symmetry_Int_Tables_number 12
_cell_length_a 17.831
_cell_length_b 4.175
_cell_length_c 9.094
_cell_angle_alpha 90.00
_cell_angle_beta 102.94
_cell_angle_gamma 90.00
loop_
_symmetry_equiv_pos_as_xyz
'x,y,z'
'-x,-y,-z'
'-x,y,-z'
'x,-y,z'
'x+1/2,y+1/2,z'
'-x+1/2,-y+1/2,-z'
'-x+1/2,y+1/2,-z'
'x+1/2,-y+1/2,z'
loop_
_atom_site_label
_atom_site_type_symbol
_atom_site_fract_x
_atom_site_fract_y
_atom_site_fract_z
_atom_site_occupancy
Rb1 Rb 0.145 0.000 0.068 1
Sm1 Sm 0.169 0.000 0.576 1
Hg1 Hg 0.014 0.500 0.726 1
S1 S 0.000 0.000 0.500 1
S2 S 0.000 0.500 0.000 1
S3 S 0.165 0.500 0.780 1
S4 S 0.171 0.500 0.370 1
```

***

The following is a theoretical XRD peak list of RbSnHg3S4. It was derived from DFT lattice parameters and positions (GGA-PBE), using Cu Kα (weighted mean of Kα1 and Kα2).
Kinematic intensities with the Lorentz-polarization factor, no thermal factor.

Principal peaks in the range 2θ = 15–90°, by angle:
24.4 deg, I 71, (0 2 1)
27.4 deg, I 99, (0 0 3)
27.4 deg, I 58, (2 0 -2)
29.2 deg, I 100, (0 2 2)
29.7 deg, I 33, (0 1 3)
34.3 deg, I 87, (2 2 0)
35.1 deg, I 42, (2 0 2)
37.2 deg, I 44, (2 2 1)
45.9 deg, I 50, (2 2 -4)
56.1 deg, I 38, (2 2 4)

Cell and atoms:
```
data_RbSnHg3S4
_symmetry_space_group_name_H-M 'P 1 21/m 1'
_symmetry_Int_Tables_number 11
_cell_length_a 7.227
_cell_length_b 7.857
_cell_length_c 10.080
_cell_angle_alpha 90.00
_cell_angle_beta 104.40
_cell_angle_gamma 90.00
loop_
_symmetry_equiv_pos_as_xyz
'x,y,z'
'-x,-y,-z'
'-x,y+1/2,-z'
'x,-y+1/2,z'
loop_
_atom_site_label
_atom_site_type_symbol
_atom_site_fract_x
_atom_site_fract_y
_atom_site_fract_z
_atom_site_occupancy
Rb1 Rb 0.244 0.250 0.128 1
Sn1 Sn 0.014 0.750 0.298 1
Hg1 Hg 0.246 0.539 0.513 1
Hg2 Hg 0.493 0.250 0.770 1
S1 S 0.170 0.750 0.108 1
S2 S 0.231 0.017 0.773 1
S3 S 0.429 0.250 0.479 1
```

***

The following is a theoretical XRD peak list of RbTbHg3S4. It was derived from DFT lattice parameters and positions (GGA-PBE), using Cu Kα (weighted mean of Kα1 and Kα2).
Kinematic intensities with the Lorentz-polarization factor, no thermal factor.

Principal peaks in the range 2θ = 15–90°, by angle:
22.7 deg, I 77, (1 1 1)
26.3 deg, I 70, (2 0 0)
29.5 deg, I 25, (2 1 0)
37.6 deg, I 100, (2 2 0)
39.9 deg, I 18, (2 2 1)
44.4 deg, I 41, (3 1 1)
46.4 deg, I 22, (2 2 2)
54.2 deg, I 17, (4 0 0)
61.2 deg, I 31, (4 2 0)
67.8 deg, I 33, (4 2 2)

Cell and atoms:
```
data_RbTbHg3S4
_symmetry_space_group_name_H-M 'P -4 3 m'
_symmetry_Int_Tables_number 215
_symmetry_space_group_name_Hall 'P -4 2 3'
_cell_length_a 6.774
_cell_length_b 6.774
_cell_length_c 6.774
_cell_angle_alpha 90.00
_cell_angle_beta 90.00
_cell_angle_gamma 90.00
loop_
_atom_site_label
_atom_site_type_symbol
_atom_site_fract_x
_atom_site_fract_y
_atom_site_fract_z
_atom_site_occupancy
Rb1 Rb 0.000 0.000 0.000 1
Tb1 Tb 0.500 0.500 0.500 1
Hg1 Hg 0.000 0.500 0.500 1
S1 S 0.279 0.279 0.279 1
```

***

The following is a theoretical XRD peak list of Rb2TmHgSb2. It was derived from DFT lattice parameters and positions (GGA-PBE), using Cu Kα (weighted mean of Kα1 and Kα2).
Kinematic intensities with the Lorentz-polarization factor, no thermal factor.

Principal peaks in the range 2θ = 15–90°, by angle:
15.6 deg, I 45, (0 0 2)
25.7 deg, I 100, (1 0 2)
31.6 deg, I 26, (0 0 4)
35.5 deg, I 59, (1 1 0)
39.0 deg, I 29, (1 1 2)
44.4 deg, I 23, (2 0 2)
48.3 deg, I 50, (1 1 4)
58.1 deg, I 21, (2 1 2)
72.9 deg, I 14, (3 0 4)
83.8 deg, I 13, (2 2 4)

Cell and atoms:
```
data_Rb2TmHgSb2
_symmetry_space_group_name_H-M 'P -6 m 2'
_symmetry_Int_Tables_number 187
_symmetry_space_group_name_Hall 'P -6 2'
_cell_length_a 5.0541
_cell_length_b 5.0541
_cell_length_c 11.3269
_cell_angle_alpha 90.00
_cell_angle_beta 90.00
_cell_angle_gamma 120.00
loop_
_atom_site_label
_atom_site_type_symbol
_atom_site_fract_x
_atom_site_fract_y
_atom_site_fract_z
_atom_site_occupancy
Rb1 Rb 0.0000 0.0000 0.2325 1
Tm1 Tm 0.3333 0.6667 0.5000 1
Hg1 Hg 0.6667 0.3333 0.0000 1
Sb1 Sb 0.3333 0.6667 0.0000 1
Sb2 Sb 0.6667 0.3333 0.5000 1
```

***

The following is a theoretical XRD peak list of Rb2Sn2Hg3Se8. It was derived from DFT lattice parameters and positions (GGA-PBE), using Cu Kα (weighted mean of Kα1 and Kα2).
Kinematic intensities with the Lorentz-polarization factor, no thermal factor.

Principal peaks in the range 2θ = 15–90°, by angle:
21.1 deg, I 53, (1 1 0)
22.1 deg, I 37, (1 0 -2)
22.6 deg, I 65, (1 -2 1)
25.6 deg, I 46, (0 2 -2)
27.2 deg, I 100, (2 -1 1)
30.9 deg, I 59, (2 0 -2)
31.6 deg, I 90, (0 2 -3)
34.6 deg, I 40, (-1 2 2)
44.0 deg, I 65, (3 0 1)
44.2 deg, I 36, (1 -4 1)

Cell and atoms:
```
data_Rb2Sn2Hg3Se8
_symmetry_space_group_name_H-M 'P -1'
_symmetry_Int_Tables_number 2
_cell_length_a 7.094
_cell_length_b 8.254
_cell_length_c 9.519
_cell_angle_alpha 107.98
_cell_angle_beta 92.65
_cell_angle_gamma 109.29
loop_
_symmetry_equiv_pos_as_xyz
'x,y,z'
'-x,-y,-z'
loop_
_atom_site_label
_atom_site_type_symbol
_atom_site_fract_x
_atom_site_fract_y
_atom_site_fract_z
_atom_site_occupancy
Rb1 Rb 0.122 0.460 0.250 1
Sn1 Sn 0.250 0.170 0.760 1
Hg1 Hg 0.345 0.079 0.374 1
Hg2 Hg 0.500 0.000 0.000 1
Se1 Se 0.084 0.829 0.147 1
Se2 Se 0.255 0.852 0.623 1
Se3 Se 0.348 0.368 0.595 1
Se4 Se 0.498 0.691 0.989 1
```

***

The following is a theoretical XRD peak list of RbSn2Hg2. It was derived from DFT lattice parameters and positions (GGA-PBE), using Cu Kα (weighted mean of Kα1 and Kα2).
Kinematic intensities with the Lorentz-polarization factor, no thermal factor.

Principal peaks in the range 2θ = 15–90°, by angle:
19.5 deg, I 76, (1 0 1)
27.4 deg, I 50, (1 0 3)
29.4 deg, I 100, (1 1 2)
37.1 deg, I 85, (2 0 0)
37.9 deg, I 82, (1 1 4)
39.0 deg, I 62, (1 0 5)
53.4 deg, I 30, (2 2 0)
54.9 deg, I 46, (2 1 5)
62.2 deg, I 25, (3 1 2)
67.4 deg, I 32, (3 1 4)

Cell and atoms:
```
data_RbSn2Hg2
_symmetry_space_group_name_H-M 'I 4/m m m'
_symmetry_Int_Tables_number 139
_symmetry_space_group_name_Hall '-I 4 2'
_cell_length_a 4.849
_cell_length_b 4.849
_cell_length_c 13.139
_cell_angle_alpha 90.00
_cell_angle_beta 90.00
_cell_angle_gamma 90.00
loop_
_atom_site_label
_atom_site_type_symbol
_atom_site_fract_x
_atom_site_fract_y
_atom_site_fract_z
_atom_site_occupancy
Rb1 Rb 0.000 0.000 0.000 1
Sn1 Sn 0.000 0.500 0.250 1
Hg1 Hg 0.000 0.000 0.392 1
```

***

The following is a theoretical XRD peak list of Rb2Sr2Hg3. It was derived from DFT lattice parameters and positions (GGA-PBE), using Cu Kα (weighted mean of Kα1 and Kα2).
Kinematic intensities with the Lorentz-polarization factor, no thermal factor.

Principal peaks in the range 2θ = 15–90°, by angle:
17.7 deg, I 9, (1 0 1)
18.5 deg, I 10, (0 1 2)
21.4 deg, I 8, (1 0 4)
30.4 deg, I 100, (1 1 0)
43.5 deg, I 19, (2 0 8)
53.9 deg, I 10, (1 0 16)
54.1 deg, I 30, (3 0 0)
63.3 deg, I 6, (2 2 0)
71.8 deg, I 17, (3 1 8)
87.9 deg, I 10, (2 3 8)

Cell and atoms:
```
data_Rb2Sr2Hg3
_symmetry_space_group_name_H-M 'R 3 m'
_symmetry_Int_Tables_number 160
_symmetry_space_group_name_Hall 'R 3 -2"'
_cell_length_a 5.8738
_cell_length_b 5.8738
_cell_length_c 28.8562
_cell_angle_alpha 90.00
_cell_angle_beta 90.00
_cell_angle_gamma 120.00
loop_
_atom_site_label
_atom_site_type_symbol
_atom_site_fract_x
_atom_site_fract_y
_atom_site_fract_z
_atom_site_occupancy
Rb1 Rb 0.0000 0.0000 0.0000 1
Rb2 Rb 0.0000 0.0000 0.4970 1
Sr1 Sr 0.0000 0.0000 0.2529 1
Sr2 Sr 0.0000 0.0000 0.7444 1
Hg1 Hg 0.0000 0.0000 0.3750 1
Hg2 Hg 0.0000 0.0000 0.6229 1
Hg3 Hg 0.0000 0.0000 0.8716 1
```

***

The following is a theoretical XRD peak list of RbTbHg3Te4. It was derived from DFT lattice parameters and positions (GGA-PBE), using Cu Kα (weighted mean of Kα1 and Kα2).
Kinematic intensities with the Lorentz-polarization factor, no thermal factor.

Principal peaks in the range 2θ = 15–90°, by angle:
22.4 deg, I 31, (0 2 1)
23.0 deg, I 49, (0 0 3)
25.0 deg, I 91, (1 2 -1)
30.1 deg, I 29, (1 0 -4)
31.6 deg, I 100, (1 2 -3)
32.0 deg, I 31, (1 1 -4)
32.7 deg, I 35, (0 3 1)
34.2 deg, I 78, (2 2 0)
41.0 deg, I 31, (2 0 -5)
42.8 deg, I 55, (0 4 0)

Cell and atoms:
```
data_RbTbHg3Te4
_symmetry_space_group_name_H-M 'P 1 21/m 1'
_symmetry_Int_Tables_number 11
_cell_length_a 6.938
_cell_length_b 8.461
_cell_length_c 12.042
_cell_angle_alpha 90.00
_cell_angle_beta 105.37
_cell_angle_gamma 90.00
loop_
_symmetry_equiv_pos_as_xyz
'x,y,z'
'-x,-y,-z'
'-x,y+1/2,-z'
'x,-y+1/2,z'
loop_
_atom_site_label
_atom_site_type_symbol
_atom_site_fract_x
_atom_site_fract_y
_atom_site_fract_z
_atom_site_occupancy
Rb1 Rb 0.240 0.250 0.296 1
Tb1 Tb 0.496 0.750 0.205 1
Hg1 Hg 0.001 0.250 0.664 1
Hg2 Hg 0.303 0.538 0.944 1
Te1 Te 0.061 0.750 0.041 1
Te2 Te 0.233 0.528 0.700 1
Te3 Te 0.397 0.750 0.426 1
```